[1]
Structure and simulated powder X-ray diffraction pattern of SrCa2I6 (DFT lattice parameters and positions (PBE); copper Kα).

Structure:
abc: 13.761 13.761 7.225
angles: 90.00 90.00 120.00
Atoms (fractional coordinates):
Sr1 0.000 0.000 0.000
Sr2 0.333 0.667 0.497
Sr3 0.667 0.333 0.503
Ca1 0.000 0.316 0.500
Ca2 0.000 0.650 0.000
Ca3 0.316 0.000 0.500
Ca4 0.350 0.350 0.000
Ca5 0.650 0.000 0.000
Ca6 0.684 0.684 0.500
I1 0.099 0.869 0.749
I2 0.105 0.537 0.749
I3 0.131 0.229 0.749
I4 0.216 0.436 0.248
I5 0.220 0.784 0.248
I6 0.229 0.131 0.251
I7 0.432 0.895 0.749
I8 0.436 0.216 0.752
I9 0.463 0.568 0.749
I10 0.537 0.105 0.251
I11 0.564 0.780 0.248
I12 0.568 0.463 0.251
I13 0.771 0.901 0.749
I14 0.780 0.564 0.752
I15 0.784 0.220 0.752
I16 0.869 0.099 0.251
I17 0.895 0.432 0.251
I18 0.901 0.771 0.251

The 10 most intense peaks (15 to 90 degrees two-theta), sorted by position:
2θ (°)	I (rel.)
24.6	151
25.6	1000
33.5	350
39.3	290
44.0	229
46.9	134
47.5	155
52.6	84
63.3	114
65.8	123

[2]
Structure and simulated powder X-ray diffraction pattern of SrCaI4 (DFT lattice parameters and positions (PBE); copper Kα).

Structure:
abc: 10.357 10.357 13.063
angles: 108.50 108.50 84.10
Atoms (fractional coordinates):
Sr1 0.196 0.196 0.349
Sr2 0.196 0.804 0.000
Sr3 0.804 0.196 0.000
Sr4 0.804 0.804 0.651
Ca1 0.182 0.182 0.842
Ca2 0.183 0.817 0.500
Ca3 0.817 0.183 0.500
Ca4 0.818 0.818 0.158
I1 0.150 0.150 0.580
I2 0.152 0.848 0.254
I3 0.152 0.848 0.746
I4 0.153 0.153 0.073
I5 0.161 0.486 0.910
I6 0.161 0.514 0.420
I7 0.486 0.161 0.910
I8 0.486 0.839 0.580
I9 0.514 0.161 0.420
I10 0.514 0.839 0.090
I11 0.839 0.486 0.580
I12 0.839 0.514 0.090
I13 0.847 0.847 0.927
I14 0.848 0.152 0.254
I15 0.848 0.152 0.746
I16 0.850 0.850 0.420

The 10 most intense peaks (15 to 90 degrees two-theta), sorted by position:
2θ (°)	I (rel.)
23.6	701
27.3	1000
38.9	471
39.0	242
46.0	257
48.2	178
63.5	89
63.6	136
70.5	75
70.6	83

[3]
Structure and simulated powder X-ray diffraction pattern of SrCa2I6 (DFT lattice parameters and positions (PBE); copper Kα).

Structure:
abc: 13.114 13.114 8.645
angles: 95.17 95.17 33.72
Atoms (fractional coordinates):
Sr1 0.230 0.770 0.750
Sr2 0.770 0.230 0.250
Ca1 0.102 0.555 0.371
Ca2 0.445 0.898 0.129
Ca3 0.555 0.102 0.871
Ca4 0.898 0.445 0.629
I1 0.011 0.128 0.575
I2 0.128 0.011 0.075
I3 0.182 0.256 0.360
I4 0.256 0.182 0.860
I5 0.383 0.406 0.129
I6 0.406 0.383 0.629
I7 0.594 0.617 0.371
I8 0.617 0.594 0.871
I9 0.744 0.818 0.140
I10 0.818 0.744 0.640
I11 0.872 0.989 0.925
I12 0.989 0.872 0.425

The 10 most intense peaks (15 to 90 degrees two-theta), sorted by position:
2θ (°)	I (rel.)
21.3	370
23.4	338
25.3	1000
26.9	778
27.6	364
31.9	437
32.7	257
33.2	200
37.1	199
40.0	189

[4]
Structure and simulated powder X-ray diffraction pattern of SrCaI4 (DFT lattice parameters and positions (PBE); copper Kα).

Structure:
abc: 7.408 7.901 19.983
angles: 90.00 111.01 90.00
Atoms (fractional coordinates):
Sr1 0.172 0.249 0.179
Sr2 0.172 0.251 0.679
Sr3 0.828 0.749 0.321
Sr4 0.828 0.751 0.821
Ca1 0.427 0.246 0.935
Ca2 0.427 0.254 0.435
Ca3 0.573 0.746 0.565
Ca4 0.573 0.754 0.065
I1 0.057 0.112 0.315
I2 0.057 0.388 0.815
I3 0.201 0.580 0.451
I4 0.201 0.920 0.951
I5 0.330 0.075 0.560
I6 0.330 0.425 0.060
I7 0.470 0.575 0.689
I8 0.470 0.925 0.189
I9 0.530 0.075 0.811
I10 0.530 0.425 0.311
I11 0.670 0.575 0.940
I12 0.670 0.925 0.440
I13 0.799 0.080 0.049
I14 0.799 0.420 0.549
I15 0.943 0.612 0.185
I16 0.943 0.888 0.685

The 10 most intense peaks (15 to 90 degrees two-theta), sorted by position:
2θ (°)	I (rel.)
24.0	403
25.1	998
25.3	971
25.6	1000
32.7	394
33.1	390
33.2	351
38.6	331
39.3	631
43.2	430

[5]
Structure and simulated powder X-ray diffraction pattern of SrCaI4 (DFT lattice parameters and positions (PBE); copper Kα).

Structure:
abc: 9.050 9.050 7.726
angles: 109.41 109.41 110.60
Atoms (fractional coordinates):
Sr1 0.135 0.865 0.750
Sr2 0.865 0.135 0.250
Ca1 0.500 0.500 0.250
Ca2 0.500 0.500 0.750
I1 0.141 0.262 0.768
I2 0.204 0.556 0.415
I3 0.262 0.141 0.268
I4 0.444 0.796 0.085
I5 0.556 0.204 0.915
I6 0.738 0.859 0.732
I7 0.796 0.444 0.585
I8 0.859 0.738 0.232

The 10 most intense peaks (15 to 90 degrees two-theta), sorted by position:
2θ (°)	I (rel.)
24.5	516
27.0	947
27.9	1000
29.7	723
29.9	474
30.9	388
32.0	443
33.2	371
34.2	657
37.0	381

[6]
Structure and simulated powder X-ray diffraction pattern of SrCa2I6 (DFT lattice parameters and positions (PBE); copper Kα).

Structure:
abc: 8.978 7.340 24.362
angles: 90.00 99.03 90.00
Atoms (fractional coordinates):
Sr1 0.111 0.005 0.414
Sr2 0.111 0.495 0.914
Sr3 0.889 0.505 0.086
Sr4 0.889 0.995 0.586
Ca1 0.255 0.013 0.749
Ca2 0.255 0.487 0.249
Ca3 0.397 0.514 0.584
Ca4 0.397 0.986 0.084
Ca5 0.603 0.014 0.916
Ca6 0.603 0.486 0.416
Ca7 0.745 0.513 0.751
Ca8 0.745 0.987 0.251
I1 0.010 0.250 0.301
I2 0.010 0.250 0.801
I3 0.125 0.749 0.526
I4 0.125 0.751 0.026
I5 0.186 0.243 0.639
I6 0.186 0.257 0.139
I7 0.326 0.715 0.357
I8 0.326 0.785 0.857
I9 0.386 0.241 0.979
I10 0.386 0.259 0.479
I11 0.483 0.737 0.191
I12 0.483 0.763 0.691
I13 0.517 0.237 0.309
I14 0.517 0.263 0.809
I15 0.614 0.741 0.521
I16 0.614 0.759 0.021
I17 0.674 0.215 0.143
I18 0.674 0.285 0.643
I19 0.814 0.743 0.861
I20 0.814 0.757 0.361
I21 0.875 0.249 0.974
I22 0.875 0.251 0.474
I23 0.990 0.750 0.199
I24 0.990 0.750 0.699

The 10 most intense peaks (15 to 90 degrees two-theta), sorted by position:
2θ (°)	I (rel.)
24.3	431
25.3	899
25.5	921
26.0	1000
33.1	402
33.3	346
33.7	253
38.7	312
39.7	282
47.5	271

[7]
Structure and simulated powder X-ray diffraction pattern of SrCa2I6 (DFT lattice parameters and positions (PBE); copper Kα).

Structure:
abc: 7.961 7.961 7.330
angles: 90.00 90.00 120.00
Atoms (fractional coordinates):
Sr1 0.000 0.000 0.000
Ca1 0.333 0.667 0.500
Ca2 0.667 0.333 0.500
I1 0.000 0.347 0.257
I2 0.000 0.653 0.743
I3 0.347 0.000 0.257
I4 0.347 0.347 0.743
I5 0.653 0.000 0.743
I6 0.653 0.653 0.257

The 10 most intense peaks (15 to 90 degrees two-theta), sorted by position:
2θ (°)	I (rel.)
17.7	103
24.3	148
25.5	1000
33.2	358
39.2	323
43.5	231
46.7	144
47.3	175
63.1	140
65.1	135

[8]
Structure and simulated powder X-ray diffraction pattern of SrCaI4 (DFT lattice parameters and positions (PBE); copper Kα).

Structure:
abc: 9.540 7.714 18.101
angles: 90.00 120.02 90.00
Atoms (fractional coordinates):
Sr1 0.249 0.108 0.129
Sr2 0.249 0.392 0.629
Sr3 0.751 0.608 0.371
Sr4 0.751 0.892 0.871
Ca1 0.245 0.075 0.871
Ca2 0.245 0.425 0.371
Ca3 0.755 0.575 0.629
Ca4 0.755 0.925 0.129
I1 0.001 0.227 0.928
I2 0.001 0.273 0.428
I3 0.010 0.741 0.813
I4 0.010 0.759 0.313
I5 0.491 0.232 0.056
I6 0.491 0.268 0.556
I7 0.492 0.226 0.818
I8 0.492 0.274 0.318
I9 0.508 0.726 0.682
I10 0.508 0.774 0.182
I11 0.509 0.732 0.444
I12 0.509 0.768 0.944
I13 0.990 0.241 0.687
I14 0.990 0.259 0.187
I15 0.999 0.727 0.572
I16 0.999 0.773 0.072

The 10 most intense peaks (15 to 90 degrees two-theta), sorted by position:
2θ (°)	I (rel.)
21.5	404
22.8	1000
23.1	493
31.1	738
31.7	619
32.0	695
39.9	215
40.3	387
46.5	221
52.4	287

[9]
Structure and simulated powder X-ray diffraction pattern of SrCa2I6 (DFT lattice parameters and positions (PBE); copper Kα).

Structure:
abc: 7.419 8.055 14.679
angles: 90.00 117.25 90.00
Atoms (fractional coordinates):
Sr1 0.000 0.000 0.000
Sr2 0.000 0.500 0.500
Ca1 0.330 0.104 0.755
Ca2 0.330 0.396 0.255
Ca3 0.670 0.604 0.745
Ca4 0.670 0.896 0.245
I1 0.060 0.073 0.236
I2 0.060 0.427 0.736
I3 0.294 0.673 0.091
I4 0.294 0.827 0.591
I5 0.430 0.190 0.093
I6 0.430 0.310 0.593
I7 0.570 0.690 0.407
I8 0.570 0.810 0.907
I9 0.706 0.173 0.409
I10 0.706 0.327 0.909
I11 0.940 0.573 0.264
I12 0.940 0.927 0.764

The 10 most intense peaks (15 to 90 degrees two-theta), sorted by position:
2θ (°)	I (rel.)
23.1	1000
24.3	866
25.9	668
26.5	404
27.0	560
28.4	284
29.0	283
35.4	295
37.0	285
46.7	266

[10]
Structure and simulated powder X-ray diffraction pattern of SrCa2I6 (DFT lattice parameters and positions (PBE); copper Kα).

Structure:
abc: 7.420 14.524 14.648
angles: 90.00 90.00 90.00
Atoms (fractional coordinates):
Sr1 0.229 0.105 0.254
Sr2 0.271 0.895 0.754
Sr3 0.729 0.395 0.746
Sr4 0.771 0.605 0.246
Ca1 0.193 0.618 0.938
Ca2 0.215 0.797 0.374
Ca3 0.285 0.203 0.874
Ca4 0.307 0.382 0.438
Ca5 0.693 0.882 0.062
Ca6 0.715 0.703 0.626
Ca7 0.785 0.297 0.126
Ca8 0.807 0.118 0.562
I1 0.008 0.315 0.582
I2 0.017 0.292 0.306
I3 0.022 0.996 0.418
I4 0.038 0.080 0.740
I5 0.113 0.772 0.581
I6 0.125 0.577 0.378
I7 0.375 0.423 0.878
I8 0.387 0.228 0.081
I9 0.462 0.920 0.240
I10 0.478 0.004 0.918
I11 0.483 0.708 0.806
I12 0.492 0.685 0.082
I13 0.508 0.185 0.418
I14 0.517 0.208 0.694
I15 0.522 0.504 0.582
I16 0.538 0.420 0.260
I17 0.613 0.728 0.419
I18 0.625 0.923 0.622
I19 0.875 0.077 0.122
I20 0.887 0.272 0.919
I21 0.962 0.580 0.760
I22 0.978 0.496 0.082
I23 0.983 0.792 0.194
I24 0.992 0.815 0.918

The 10 most intense peaks (15 to 90 degrees two-theta), sorted by position:
2θ (°)	I (rel.)
21.0	132
22.8	174
24.8	153
25.1	1000
27.3	362
27.7	180
32.7	236
35.0	133
41.5	251
46.8	128